# 1
Structure and computed powder X-ray diffraction pattern of KW3O9 (a DFT-relaxed cell (PBE+U, the Materials Project); Cu Kα (weighted mean of Kα1 and Kα2)).

Cell and atoms:
abc: 7.510 7.510 7.743
angles: 90.00 90.00 120.00
Fractional coordinates of all 26 atoms:
K: 0.000 0.000 0.000
K: 0.000 0.000 0.500
W: 0.000 0.500 0.233
W: 0.000 0.500 0.733
W: 0.500 0.000 0.233
W: 0.500 0.000 0.733
W: 0.500 0.500 0.233
W: 0.500 0.500 0.733
O: 0.013 0.507 0.483
O: 0.210 0.419 0.225
O: 0.210 0.419 0.741
O: 0.210 0.790 0.225
O: 0.210 0.790 0.741
O: 0.419 0.210 0.241
O: 0.419 0.210 0.725
O: 0.493 0.507 0.483
O: 0.493 0.987 0.483
O: 0.507 0.013 0.983
O: 0.507 0.493 0.983
O: 0.581 0.790 0.225
O: 0.581 0.790 0.741
O: 0.790 0.210 0.241
O: 0.790 0.210 0.725
O: 0.790 0.581 0.241
O: 0.790 0.581 0.725
O: 0.987 0.493 0.983

Principal peaks in the range 10° ≤ 2θ ≤ 80°, by angle:
2θ = 13.6°, d = 6.504 Å, I = 42, hkl 1 0 0
2θ = 23.0°, d = 3.872 Å, I = 45, hkl 0 0 2
2θ = 26.8°, d = 3.327 Å, I = 28, hkl 1 0 2
2θ = 27.4°, d = 3.252 Å, I = 100, hkl 2 0 0
2θ = 36.1°, d = 2.490 Å, I = 48, hkl 2 0 2
2θ = 48.5°, d = 1.878 Å, I = 26, hkl 2 2 0
2θ = 54.3°, d = 1.689 Å, I = 21, hkl 2 2 2
2θ = 55.2°, d = 1.663 Å, I = 28, hkl 2 0 4

---

# 2
Structure and computed powder X-ray diffraction pattern of K4WO5 (a DFT-relaxed cell (PBE+U, the Materials Project); Cu Kα (weighted mean of Kα1 and Kα2)).

Cell and atoms:
abc: 6.391 10.393 17.229
angles: 94.21 92.58 96.28
Fractional coordinates of all 60 atoms:
K: 0.011 0.012 0.180
K: 0.059 0.580 0.415
K: 0.073 0.352 0.219
K: 0.075 0.195 0.006
K: 0.232 0.540 0.058
K: 0.244 0.953 0.430
K: 0.265 0.404 0.851
K: 0.281 0.115 0.655
K: 0.432 0.913 0.095
K: 0.449 0.499 0.680
K: 0.450 0.161 0.289
K: 0.458 0.296 0.494
K: 0.542 0.704 0.506
K: 0.550 0.839 0.711
K: 0.551 0.501 0.320
K: 0.568 0.087 0.905
K: 0.719 0.885 0.345
K: 0.735 0.596 0.149
K: 0.756 0.047 0.570
K: 0.768 0.460 0.942
K: 0.925 0.805 0.994
K: 0.927 0.648 0.781
K: 0.941 0.420 0.585
K: 0.989 0.988 0.820
W: 0.063 0.774 0.593
W: 0.218 0.734 0.249
W: 0.400 0.743 0.903
W: 0.600 0.257 0.097
W: 0.782 0.266 0.751
W: 0.937 0.226 0.407
O: 0.039 0.882 0.684
O: 0.049 0.308 0.712
O: 0.072 0.183 0.499
O: 0.088 0.762 0.147
O: 0.141 0.634 0.924
O: 0.183 0.338 0.380
O: 0.213 0.627 0.581
O: 0.272 0.896 0.926
O: 0.324 0.882 0.573
O: 0.341 0.159 0.124
O: 0.343 0.593 0.205
O: 0.355 0.905 0.253
O: 0.359 0.718 0.351
O: 0.372 0.660 0.802
O: 0.458 0.319 0.011
O: 0.542 0.681 0.989
O: 0.628 0.340 0.198
O: 0.641 0.282 0.649
O: 0.645 0.095 0.747
O: 0.657 0.407 0.795
O: 0.659 0.841 0.876
O: 0.676 0.118 0.427
O: 0.728 0.104 0.074
O: 0.787 0.373 0.419
O: 0.817 0.662 0.620
O: 0.859 0.366 0.076
O: 0.912 0.238 0.853
O: 0.928 0.817 0.501
O: 0.951 0.692 0.288
O: 0.961 0.118 0.316

Principal peaks in the range 10° ≤ 2θ ≤ 80°, by angle:
2θ = 17.2°, d = 5.160 Å, I = 100, hkl 0 1 -3
2θ = 18.3°, d = 4.840 Å, I = 35, hkl 0 1 3
2θ = 28.9°, d = 3.088 Å, I = 31, hkl 1 0 -5
2θ = 29.1°, d = 3.066 Å, I = 34, hkl 2 -1 1
2θ = 29.3°, d = 3.052 Å, I = 31, hkl 0 3 -3
2θ = 29.4°, d = 3.036 Å, I = 33, hkl 1 2 3
2θ = 30.5°, d = 2.932 Å, I = 41, hkl -1 3 2
2θ = 35.6°, d = 2.524 Å, I = 32, hkl 2 2 -2

---

# 3
Structure and computed powder X-ray diffraction pattern of K2W2O15 (a DFT-relaxed cell (PBE+U, the Materials Project); Cu Kα (weighted mean of Kα1 and Kα2)).

Cell and atoms:
abc: 6.311 9.518 13.708
angles: 94.19 103.26 104.69
Fractional coordinates of all 38 atoms:
K: 0.035 0.288 0.374
K: 0.319 0.752 0.974
K: 0.681 0.248 0.026
K: 0.965 0.712 0.626
W: 0.127 0.107 0.814
W: 0.440 0.465 0.750
W: 0.560 0.535 0.250
W: 0.873 0.893 0.186
O: 0.054 0.742 0.161
O: 0.062 0.982 0.308
O: 0.169 0.883 0.810
O: 0.173 0.873 0.142
O: 0.175 0.467 0.560
O: 0.186 0.361 0.619
O: 0.187 0.370 0.087
O: 0.245 0.099 0.947
O: 0.315 0.604 0.781
O: 0.330 0.504 0.106
O: 0.338 0.977 0.783
O: 0.346 0.480 0.314
O: 0.353 0.273 0.788
O: 0.389 0.853 0.569
O: 0.474 0.201 0.461
O: 0.526 0.799 0.539
O: 0.611 0.147 0.431
O: 0.647 0.727 0.212
O: 0.654 0.520 0.686
O: 0.662 0.023 0.217
O: 0.670 0.496 0.894
O: 0.685 0.396 0.219
O: 0.755 0.901 0.053
O: 0.813 0.630 0.913
O: 0.814 0.639 0.381
O: 0.825 0.533 0.440
O: 0.827 0.127 0.858
O: 0.831 0.117 0.190
O: 0.938 0.018 0.692
O: 0.946 0.258 0.839

Principal peaks in the range 10° ≤ 2θ ≤ 80°, by angle:
2θ = 12.5°, d = 7.058 Å, I = 48, hkl 0 1 1
2θ = 13.4°, d = 6.606 Å, I = 95, hkl 0 0 2
2θ = 15.5°, d = 5.735 Å, I = 94, hkl 1 -1 0
2θ = 18.0°, d = 4.935 Å, I = 34, hkl 1 0 1
2θ = 18.8°, d = 4.726 Å, I = 74, hkl -1 1 2
2θ = 21.1°, d = 4.218 Å, I = 64, hkl 1 1 -2
2θ = 22.1°, d = 4.022 Å, I = 100, hkl 0 2 -2
2θ = 29.2°, d = 3.055 Å, I = 37, hkl 1 1 -4

---

# 4
Structure and computed powder X-ray diffraction pattern of KW4O12 (a DFT-relaxed cell (PBE+U, the Materials Project); Cu Kα (weighted mean of Kα1 and Kα2)).

Cell and atoms:
abc: 7.516 7.516 15.459
angles: 90.00 90.00 120.00
Fractional coordinates of all 51 atoms:
K: 0.000 0.000 0.000
K: 0.000 0.000 0.277
K: 0.000 0.000 0.554
W: 0.000 0.500 0.126
W: 0.000 0.500 0.376
W: 0.000 0.500 0.626
W: 0.000 0.500 0.875
W: 0.500 0.000 0.126
W: 0.500 0.000 0.376
W: 0.500 0.000 0.626
W: 0.500 0.000 0.875
W: 0.500 0.500 0.126
W: 0.500 0.500 0.376
W: 0.500 0.500 0.626
W: 0.500 0.500 0.875
O: 0.014 0.507 0.500
O: 0.015 0.507 0.002
O: 0.211 0.421 0.131
O: 0.211 0.421 0.370
O: 0.211 0.423 0.628
O: 0.211 0.789 0.131
O: 0.211 0.789 0.370
O: 0.211 0.789 0.628
O: 0.212 0.425 0.873
O: 0.212 0.788 0.873
O: 0.421 0.211 0.122
O: 0.421 0.211 0.379
O: 0.423 0.211 0.620
O: 0.424 0.212 0.881
O: 0.493 0.507 0.002
O: 0.493 0.507 0.500
O: 0.493 0.985 0.002
O: 0.493 0.986 0.500
O: 0.507 0.014 0.751
O: 0.507 0.015 0.250
O: 0.507 0.493 0.250
O: 0.507 0.493 0.751
O: 0.575 0.788 0.873
O: 0.577 0.789 0.628
O: 0.579 0.789 0.131
O: 0.579 0.789 0.370
O: 0.788 0.212 0.881
O: 0.788 0.576 0.881
O: 0.789 0.211 0.122
O: 0.789 0.211 0.379
O: 0.789 0.211 0.620
O: 0.789 0.577 0.620
O: 0.789 0.579 0.122
O: 0.789 0.579 0.379
O: 0.985 0.493 0.250
O: 0.986 0.493 0.751

Principal peaks in the range 10° ≤ 2θ ≤ 80°, by angle:
2θ = 13.6°, d = 6.509 Å, I = 50, hkl 1 0 0
2θ = 23.0°, d = 3.865 Å, I = 50, hkl 0 0 4
2θ = 26.8°, d = 3.323 Å, I = 25, hkl 1 0 4
2θ = 27.4°, d = 3.254 Å, I = 100, hkl 2 0 0
2θ = 36.1°, d = 2.489 Å, I = 54, hkl 2 0 4
2θ = 48.4°, d = 1.879 Å, I = 26, hkl 2 2 0
2θ = 54.3°, d = 1.690 Å, I = 23, hkl 2 2 4
2θ = 55.3°, d = 1.662 Å, I = 26, hkl 2 0 8